Entry 1:
Diffraction record for Tb4Er2Pb3O2. The powder XRD pattern is calculated, not measured: it uses a structure optimized by DFT (GGA-PBE) and copper Kα.
Lines closer than 0.1° are merged.

Structure:
```
data_Tb4Er2Pb3O2
_chemical_formula_sum 'Tb8 Er4 Pb6 O4'
_space_group_name_H-M_alt 'I 4/m m m'
_space_group_IT_number 139
_space_group_name_Hall '-I 4 2'
_cell_length_a 4.6909
_cell_length_b 4.6909
_cell_length_c 25.2001
_cell_angle_alpha 90.00
_cell_angle_beta 90.00
_cell_angle_gamma 90.00
loop_
_atom_site_label
_atom_site_type_symbol
_atom_site_fract_x
_atom_site_fract_y
_atom_site_fract_z
Tb1 Tb 0.0000 0.5000 0.0844
Er1 Er 0.0000 0.0000 0.1924
Pb1 Pb 0.0000 0.0000 0.3187
Pb2 Pb 0.0000 0.0000 0.5000
O1 O 0.0000 0.0000 0.1016
```

Peak list (10 most intense, 2θ = 10–90°, by angle)
d 3.208, I = 35, (1 1 2)
d 3.150, I = 14, (0 0 8)
d 2.935, I = 18, (1 1 4)
d 2.603, I = 100, (1 1 6)
d 2.520, I = 14, (0 0 10)
d 2.345, I = 53, (2 0 0)
d 1.717, I = 17, (2 0 10)
d 1.658, I = 19, (2 2 0)
d 1.423, I = 14, (1 1 16)
d 1.399, I = 31, (3 1 6)


Entry 2:
Diffraction record for PrDyTeP. The powder XRD pattern is calculated, not measured: it uses a structure optimized by DFT (GGA-PBE) and copper Kα.
Lines closer than 0.1° are merged.

Structure:
```
data_PrDyTeP
_chemical_formula_sum 'Pr3 Dy3 Te3 P3'
_space_group_name_H-M_alt 'R 3 m'
_space_group_IT_number 160
_space_group_name_Hall 'R 3 -2"'
_cell_length_a 4.1623
_cell_length_b 4.1623
_cell_length_c 22.1631
_cell_angle_alpha 90.00
_cell_angle_beta 90.00
_cell_angle_gamma 120.00
loop_
_atom_site_label
_atom_site_type_symbol
_atom_site_fract_x
_atom_site_fract_y
_atom_site_fract_z
Pr1 Pr 0.0000 0.0000 0.0000
Dy1 Dy 0.0000 0.0000 0.8073
Te1 Te 0.0000 0.0000 0.2327
P1 P 0.0000 0.0000 0.4094
```

Peak list (10 most intense, 2θ = 10–90°, by angle)
d 3.558, I = 36, (1 0 1)
d 3.428, I = 18, (0 1 2)
d 3.022, I = 50, (1 0 4)
d 2.797, I = 100, (0 1 5)
d 2.379, I = 21, (1 0 7)
d 2.081, I = 51, (1 1 0)
d 1.888, I = 19, (1 0 10)
d 1.670, I = 21, (2 0 5)
d 1.590, I = 18, (1 1 9)
d 1.302, I = 19, (1 2 5)


Entry 3:
Diffraction record for KRb5F7. The powder XRD pattern is calculated, not measured: it uses a structure optimized by DFT (GGA-PBE) and copper Kα.
Lines closer than 0.1° are merged.

Structure:
```
data_KRb5F7
_chemical_formula_sum 'K2 Rb10 F14'
_space_group_name_H-M_alt 'P 1'
_space_group_IT_number 1
_space_group_name_Hall 'P 1'
_cell_length_a 3.9499
_cell_length_b 7.0842
_cell_length_c 22.9079
_cell_angle_alpha 90.02
_cell_angle_beta 90.00
_cell_angle_gamma 106.18
loop_
_atom_site_label
_atom_site_type_symbol
_atom_site_fract_x
_atom_site_fract_y
_atom_site_fract_z
K1 K 0.0000 0.0000 0.0000
K2 K 0.4363 0.8699 0.4998
Rb1 Rb 0.2191 0.4365 0.2503
Rb2 Rb 0.2188 0.4361 0.7496
Rb3 Rb 0.4907 0.9797 0.1716
Rb4 Rb 0.4905 0.9796 0.8283
Rb5 Rb 0.6838 0.3661 0.5928
Rb6 Rb 0.6843 0.3669 0.4071
Rb7 Rb 0.7530 0.5046 0.0930
Rb8 Rb 0.7530 0.5047 0.9069
Rb9 Rb 0.9467 0.8919 0.6710
Rb10 Rb 0.9472 0.8926 0.3289
F1 F 0.0392 0.0771 0.5636
F2 F 0.0397 0.0778 0.4363
F3 F 0.1294 0.2581 0.1438
F4 F 0.1294 0.2582 0.8561
F5 F 0.3079 0.6137 0.6431
F6 F 0.3083 0.6146 0.3569
F7 F 0.3978 0.7939 0.0642
F8 F 0.3979 0.7941 0.9358
F9 F 0.5821 0.1632 0.2887
F10 F 0.5816 0.1626 0.7112
F11 F 0.6302 0.2615 0.9999
F12 F 0.8067 0.6096 0.5000
F13 F 0.8560 0.7093 0.7879
F14 F 0.8562 0.7096 0.2120
```

Peak list (10 most intense, 2θ = 10–90°, by angle)
d 3.400, I = 55, (0 2 0)
d 3.330, I = 100, (0 1 6)
d 3.162, I = 28, (1 0 4)
d 2.952, I = 39, (0 1 7)
d 2.883, I = 58, (-1 2 2)
d 2.775, I = 61, (1 1 -3)
d 2.641, I = 31, (0 1 -8)
d 2.087, I = 26, (1 2 4)
d 1.975, I = 26, (2 -1 0)
d 1.699, I = 30, (2 0 6)


Entry 4:
Diffraction record for Mn2Tl3AgCl9. The powder XRD pattern is calculated, not measured: it uses a structure optimized by DFT (GGA-PBE) and copper Kα.
Lines closer than 0.1° are merged.

Structure:
```
data_Mn2Tl3AgCl9
_chemical_formula_sum 'Mn2 Tl3 Ag1 Cl9'
_space_group_name_H-M_alt 'P -3 m 1'
_space_group_IT_number 164
_space_group_name_Hall '-P 3 2"'
_cell_length_a 7.1371
_cell_length_b 7.1371
_cell_length_c 8.8011
_cell_angle_alpha 90.00
_cell_angle_beta 90.00
_cell_angle_gamma 120.00
loop_
_atom_site_label
_atom_site_type_symbol
_atom_site_fract_x
_atom_site_fract_y
_atom_site_fract_z
Mn1 Mn 0.3333 0.6667 0.1646
Tl1 Tl 0.0000 0.0000 0.0000
Tl2 Tl 0.3333 0.6667 0.6534
Ag1 Ag 0.0000 0.0000 0.5000
Cl1 Cl 0.0000 0.5000 0.0000
Cl2 Cl 0.1732 0.3463 0.3197
```

Peak list (10 most intense, 2θ = 10–90°, by angle)
d 5.058, I = 26, (1 0 1)
d 3.585, I = 98, (0 1 2)
d 3.569, I = 98, (1 1 0)
d 2.916, I = 56, (0 2 1)
d 2.529, I = 100, (2 0 2)
d 2.073, I = 23, (1 0 4)
d 2.062, I = 66, (3 0 0)
d 1.792, I = 33, (0 2 4)
d 1.784, I = 34, (2 2 0)
d 1.349, I = 23, (4 1 0)